# 1
TiPt7Rh4: simulated powder X-ray diffraction pattern (Cu Kα), based on a crystal structure in Alexandria, relaxed with PBE.
Lines closer than 0.1° are merged.

Largest 12 diffraction maxima, in order of falling intensity, 2θ from 10° to 80°:
two_theta, I/Imax
41.0, 100
36.7, 78
42.4, 72
37.6, 55
41.7, 50
39.9, 48
33.7, 45
42.8, 40
40.1, 35
21.8, 35
43.6, 31
43.7, 27

Structure:
```
TiPt7Rh4
1.0
4.8980 0.0000 0.0000
0.2600 5.3462 0.0000
0.2413 1.8536 7.1779
Ti Pt Rh
1 7 4
Direct
0.0000 0.0000 0.0000
0.2136 0.2868 0.4055
0.2431 0.8107 0.3431
0.2457 0.5380 0.0552
0.5000 0.0000 0.0000
0.7543 0.4620 0.9448
0.7569 0.1893 0.6569
0.7864 0.7132 0.5945
0.2468 0.3883 0.7366
0.2757 0.8919 0.6992
0.7243 0.1081 0.3008
0.7532 0.6117 0.2634
```

# 2
BeMo7: simulated powder X-ray diffraction pattern (Cu Kα), based on a crystal structure in Alexandria, relaxed with PBE.
Lines closer than 0.1° are merged.

Largest 12 diffraction maxima, in order of falling intensity, 2θ from 10° to 80°:
two_theta, I/Imax
39.6, 100
46.0, 48
67.1, 30
19.5, 11
37.8, 6
22.5, 6
32.1, 5
50.4, 3
51.8, 2
61.0, 2
70.6, 2
57.2, 2

Structure:
```
BeMo7
1.0
0.0000 3.9457 3.9457
3.9457 0.0000 3.9457
3.9457 3.9457 0.0000
Be Mo
1 7
Direct
0.0000 0.0000 0.0000
0.0000 0.0000 0.5000
0.0000 0.5000 0.0000
0.0000 0.5000 0.5000
0.5000 0.0000 0.0000
0.5000 0.0000 0.5000
0.5000 0.5000 0.0000
0.5000 0.5000 0.5000
```

# 3
Li4AcAg4: simulated powder X-ray diffraction pattern (Cu Kα), based on a crystal structure in Alexandria, relaxed with PBE.
Lines closer than 0.1° are merged.

Largest 12 diffraction maxima, in order of falling intensity, 2θ from 10° to 80°:
two_theta, I/Imax
29.8, 100
36.5, 41
14.5, 41
32.8, 26
37.7, 20
56.7, 18
29.3, 18
50.8, 15
42.3, 14
54.2, 12
67.9, 12
63.2, 11

Structure:
```
Li4AcAg4
1.0
-4.3129 4.3129 2.3861
4.3129 -4.3129 2.3861
4.3129 4.3129 -2.3861
Li Ac Ag
4 1 4
Direct
0.0789 0.6230 0.7019
0.3770 0.0789 0.4560
0.6230 0.9211 0.5440
0.9211 0.3770 0.2981
0.0000 0.0000 0.0000
0.2598 0.3552 0.6150
0.3552 0.7402 0.0955
0.6448 0.2598 0.9045
0.7402 0.6448 0.3850
```

# 4
Y3Ho2In2: simulated powder X-ray diffraction pattern (Cu Kα), based on a crystal structure in Alexandria, relaxed with PBE.
Lines closer than 0.1° are merged.

Largest 12 diffraction maxima, in order of falling intensity, 2θ from 10° to 80°:
two_theta, I/Imax
32.4, 100
33.3, 99
58.9, 35
47.1, 35
59.5, 18
57.3, 16
79.2, 15
77.7, 13
69.9, 11
19.4, 10
67.9, 9
26.7, 5

Structure:
```
Y3Ho2In2
1.0
2.6923 1.5544 7.9966
-2.6923 1.5544 7.9966
0.0000 -3.1088 7.9966
Y Ho In
3 2 2
Direct
0.0000 0.0000 0.0000
0.1531 0.1531 0.1531
0.8469 0.8469 0.8469
0.4241 0.4241 0.4241
0.5759 0.5759 0.5759
0.2831 0.2831 0.2831
0.7169 0.7169 0.7169
```

# 5
PmCuSeO4: simulated powder X-ray diffraction pattern (Cu Kα), based on a crystal structure in Alexandria, relaxed with PBE.
Lines closer than 0.1° are merged.

Largest 12 diffraction maxima, in order of falling intensity, 2θ from 10° to 80°:
two_theta, I/Imax
29.2, 100
33.5, 40
45.9, 39
29.5, 34
34.3, 28
36.4, 27
24.3, 26
44.1, 26
16.6, 25
22.7, 22
58.9, 20
60.6, 19

Structure:
```
PmCuSeO4
1.0
-3.6633 3.7224 3.9244
3.6633 -3.7224 3.9244
3.6633 3.7224 -3.9244
Pm Cu Se O
2 2 2 8
Direct
0.0000 0.0000 0.0000
0.5000 0.0000 0.5000
0.5000 0.0000 0.0000
0.5000 0.5000 0.5000
0.1839 0.4339 0.7500
0.8161 0.5661 0.2500
0.1303 0.6995 0.4308
0.2313 0.3005 0.9308
0.2703 0.2224 0.4521
0.2703 0.8182 0.0479
0.7297 0.1818 0.9521
0.7297 0.7776 0.5479
0.7687 0.6995 0.0692
0.8697 0.3005 0.5692
```

# 6
Tl5Cd2Pb: simulated powder X-ray diffraction pattern (Cu Kα), based on a crystal structure in Alexandria, relaxed with PBE.
Lines closer than 0.1° are merged.

Largest 12 diffraction maxima, in order of falling intensity, 2θ from 10° to 80°:
two_theta, I/Imax
30.5, 100
32.8, 100
36.1, 64
53.5, 42
64.2, 36
38.2, 34
31.3, 26
60.1, 16
65.6, 14
64.0, 13
68.9, 12
55.0, 11

Structure:
```
Tl5Cd2Pb
1.0
7.4623 0.0000 0.0000
0.0000 13.3661 0.0000
0.0000 0.0000 4.7177
Tl Cd Pb
10 4 2
Direct
0.0000 0.0000 0.0000
0.0559 0.2452 0.0000
0.2331 0.8793 0.5000
0.2669 0.3793 0.5000
0.4441 0.7452 0.0000
0.5000 0.5000 0.0000
0.5559 0.2548 0.0000
0.7331 0.6207 0.5000
0.7669 0.1207 0.5000
0.9441 0.7548 0.0000
0.2091 0.6264 0.5000
0.2909 0.1264 0.5000
0.7091 0.8736 0.5000
0.7909 0.3736 0.5000
0.0000 0.5000 0.0000
0.5000 0.0000 0.0000
```

# 7
Cs3HfF8: simulated powder X-ray diffraction pattern (Cu Kα), based on a crystal structure in Alexandria, relaxed with PBE.
Lines closer than 0.1° are merged.

Largest 12 diffraction maxima, in order of falling intensity, 2θ from 10° to 80°:
two_theta, I/Imax
25.3, 100
43.9, 51
24.7, 47
35.3, 27
45.0, 22
52.0, 16
69.3, 15
70.1, 12
57.5, 12
71.4, 11
59.9, 11
37.0, 11

Structure:
```
Cs3HfF8
1.0
-3.5991 3.5991 4.8627
3.5991 -3.5991 4.8627
3.5991 3.5991 -4.8627
Cs Hf F
3 1 8
Direct
0.0000 0.0000 0.0000
0.2500 0.7500 0.5000
0.7500 0.2500 0.5000
0.5000 0.5000 0.0000
0.2001 0.4298 0.0000
0.2507 0.2507 0.6024
0.3517 0.7493 0.0000
0.4298 0.2001 0.0000
0.5702 0.5702 0.7703
0.6483 0.6483 0.3976
0.7493 0.3517 0.0000
0.7999 0.7999 0.2297
```

# 8
Sm4Tm10Sc: simulated powder X-ray diffraction pattern (Cu Kα), based on a crystal structure in Alexandria, relaxed with PBE.
Lines closer than 0.1° are merged.

Largest 12 diffraction maxima, in order of falling intensity, 2θ from 10° to 80°:
two_theta, I/Imax
32.0, 100
32.5, 89
28.2, 70
41.6, 47
25.2, 40
58.3, 36
34.5, 35
34.0, 32
31.1, 32
46.0, 31
68.5, 30
68.1, 29

Structure:
```
Sm4Tm10Sc
1.0
-5.5864 5.5864 3.8409
5.5864 -5.5864 3.8409
5.5864 5.5864 -3.8409
Sm Tm Sc
4 10 1
Direct
0.2302 0.2295 0.4598
0.2295 0.7698 0.9993
0.7705 0.2302 0.0007
0.7698 0.7705 0.5402
0.0812 0.2888 0.7926
0.2500 0.7500 0.5000
0.2886 0.0812 0.7924
0.2888 0.4962 0.2076
0.4962 0.2886 0.2074
0.5038 0.7114 0.7926
0.7112 0.5038 0.7924
0.7114 0.9188 0.2076
0.7500 0.2500 0.5000
0.9188 0.7112 0.2074
0.0000 0.0000 0.0000
```

# 9
GePdAu3: simulated powder X-ray diffraction pattern (Cu Kα), based on a crystal structure in Alexandria, relaxed with PBE.
Lines closer than 0.1° are merged.

Largest 12 diffraction maxima, in order of falling intensity, 2θ from 10° to 80°:
two_theta, I/Imax
31.4, 100
40.6, 86
37.1, 84
57.1, 53
38.3, 53
45.0, 30
47.9, 27
51.0, 23
24.8, 18
75.0, 17
38.9, 15
79.0, 13

Structure:
```
GePdAu3
1.0
-4.6958 3.5847 2.8282
4.6958 -3.5847 2.8282
4.6958 3.5847 -2.8282
Ge Pd Au
2 2 6
Direct
0.2498 0.2500 0.4998
0.7502 0.7500 0.5002
0.7101 0.9998 0.2103
0.7894 0.4998 0.7897
0.1849 0.4992 0.1856
0.2541 0.5238 0.7748
0.2541 0.9793 0.2304
0.3136 0.9992 0.8144
0.7490 0.0238 0.7696
0.7490 0.4793 0.2252
```

# 10
AlAgBr: simulated powder X-ray diffraction pattern (Cu Kα), based on a crystal structure in Alexandria, relaxed with PBE.
Lines closer than 0.1° are merged.

Largest 12 diffraction maxima, in order of falling intensity, 2θ from 10° to 80°:
two_theta, I/Imax
33.1, 100
24.4, 37
39.6, 34
48.8, 32
54.6, 19
60.7, 15
77.2, 13
30.7, 13
65.4, 12
72.5, 10
50.0, 9
76.2, 8

Structure:
```
AlAgBr
1.0
14.5898 0.0000 0.0000
0.0000 3.3616 0.0000
0.0000 0.0000 5.8215
Al Ag Br
4 4 4
Direct
0.1288 0.0000 0.0000
0.1288 0.5000 0.5000
0.8712 0.0000 0.0000
0.8712 0.5000 0.5000
0.0000 0.0000 0.3334
0.0000 0.5000 0.8334
0.5000 0.0000 0.2925
0.5000 0.5000 0.7925
0.2522 0.0000 0.6662
0.2522 0.5000 0.1662
0.7478 0.0000 0.6662
0.7478 0.5000 0.1662
```

# 11
CuAg2P4O12: simulated powder X-ray diffraction pattern (Cu Kα), based on a crystal structure in Alexandria, relaxed with PBE.
Lines closer than 0.1° are merged.

Largest 12 diffraction maxima, in order of falling intensity, 2θ from 10° to 80°:
two_theta, I/Imax
26.4, 100
22.3, 86
27.7, 63
17.2, 59
34.4, 56
30.4, 52
31.8, 51
28.7, 51
39.9, 42
46.1, 40
21.8, 39
55.7, 36

Structure:
```
CuAg2P4O12
1.0
4.8179 -6.7463 0.0000
4.8179 6.7463 0.0000
-0.7414 0.0000 7.9795
Cu Ag P O
2 4 8 24
Direct
0.1350 0.8650 0.7500
0.8650 0.1350 0.2500
0.1807 0.4876 0.3212
0.4876 0.1807 0.8212
0.5124 0.8193 0.1788
0.8193 0.5124 0.6788
0.0595 0.2114 0.6752
0.2114 0.0595 0.1752
0.2392 0.5494 0.8715
0.4506 0.7608 0.6285
0.5494 0.2392 0.3715
0.7608 0.4506 0.1285
0.7886 0.9405 0.8248
0.9405 0.7886 0.3248
0.0296 0.3022 0.5268
0.0839 0.1542 0.1573
0.1066 0.6311 0.8178
0.1233 0.8767 0.2500
0.1542 0.0839 0.6573
0.1615 0.3469 0.8300
0.3022 0.0296 0.0268
0.3100 0.5766 0.0505
0.3469 0.1615 0.3300
0.3689 0.8934 0.6822
0.3955 0.6045 0.7500
0.4234 0.6900 0.4495
0.5766 0.3100 0.5505
0.6045 0.3955 0.2500
0.6311 0.1066 0.3178
0.6531 0.8385 0.6700
0.6900 0.4234 0.9495
0.6978 0.9704 0.9732
0.8385 0.6531 0.1700
0.8458 0.9161 0.3427
0.8767 0.1233 0.7500
0.8934 0.3689 0.1822
0.9161 0.8458 0.8427
0.9704 0.6978 0.4732
```

# 12
Ag2SbSeS2: simulated powder X-ray diffraction pattern (Cu Kα), based on a crystal structure in Alexandria, relaxed with PBE.
Lines closer than 0.1° are merged.

Largest 12 diffraction maxima, in order of falling intensity, 2θ from 10° to 80°:
two_theta, I/Imax
28.0, 100
24.0, 73
44.7, 70
25.2, 57
44.6, 57
44.1, 48
25.0, 37
27.8, 35
50.9, 31
35.1, 21
34.9, 20
51.3, 19

Structure:
```
Ag2SbSeS2
1.0
6.0873 -3.5663 0.0000
6.0873 3.5663 0.0000
0.0000 0.0000 7.4222
Ag Sb Se S
4 2 2 4
Direct
0.0064 0.3454 0.0000
0.3454 0.0064 0.5000
0.6546 0.9936 0.0000
0.9936 0.6546 0.5000
0.3038 0.6962 0.9700
0.6962 0.3038 0.4700
0.3517 0.6483 0.3583
0.6483 0.3517 0.8583
0.0077 0.3215 0.3453
0.3215 0.0077 0.8453
0.6785 0.9923 0.3453
0.9923 0.6785 0.8453
```